# 1
CsHg2Se2Br: computed powder diffraction line list (Cu Kα), based on a DFT-relaxed cell (PBE, Alexandria).

Main lines, in order of rising 2θ (2θ = 5–70°):
- d = 10.113 Å, rel. 56, (0 0 1)
- d = 5.172 Å, rel. 76, (1 0 1)
- d = 4.666 Å, rel. 40, (1 0 -2)
- d = 3.368 Å, rel. 100, (0 0 3)
- d = 2.833 Å, rel. 40, (1 2 -2)
- d = 2.521 Å, rel. 77, (2 2 -1)

Crystal structure
Unit cell a=7.171 b=7.129 c=10.428 alpha=90.00 beta=104.10 gamma=90.00
Space group P2_1/m (No. 11)
Inequivalent atoms, fractional coordinates:
Cs: 0.240 0.250 0.024 (multiplicity 2)
Hg: 0.287 0.505 0.633 (multiplicity 4)
Se: 0.054 0.250 0.649 (multiplicity 2)
Se: 0.474 0.250 0.392 (multiplicity 2)
Br: 0.236 0.750 0.914 (multiplicity 2)

# 2
CsSmHgBr6: computed powder diffraction line list (Cu Kα), based on a DFT-relaxed cell (PBE, Alexandria).

Main lines, in order of rising 2θ (2θ = 5–70°):
- d = 8.053 Å, rel. 50, (0 0 1)
- d = 5.049 Å, rel. 99, (1 0 1)
- d = 3.394 Å, rel. 59, (2 -1 1)
- d = 2.741 Å, rel. 100, (2 -1 2)
- d = 2.344 Å, rel. 33, (3 -1 1)
- d = 2.161 Å, rel. 36, (3 0 0)

Crystal structure
Unit cell a=7.4846 b=7.4846 c=8.0535 alpha=90.00 beta=90.00 gamma=120.00
Space group P312 (No. 149)
Inequivalent atoms, fractional coordinates:
Cs: 0.0000 0.0000 0.0000 (multiplicity 1)
Sm: 0.3333 0.6667 0.5000 (multiplicity 1)
Hg: 0.6667 0.3333 0.5000 (multiplicity 1)
Br: 0.3829 0.0008 0.7094 (multiplicity 6)

# 3
Cs2SnHg2Br4: computed powder diffraction line list (Cu Kα), based on a DFT-relaxed cell (PBE, Alexandria).

Main lines, in order of rising 2θ (2θ = 5–70°):
- d = 4.366 Å, rel. 39, (2 0 0)
- d = 3.147 Å, rel. 76, (2 0 2)
- d = 3.087 Å, rel. 100, (2 2 0)
- d = 2.860 Å, rel. 40, (1 0 3)
- d = 2.392 Å, rel. 41, (2 1 3)
- d = 2.183 Å, rel. 37, (4 0 0)

Crystal structure
Unit cell a=8.731 b=8.731 c=9.082 alpha=90.00 beta=90.00 gamma=90.00
Space group I4/mmm (No. 139)
Inequivalent atoms, fractional coordinates:
Cs: 0.000 0.500 0.250 (multiplicity 4)
Sn: 0.000 0.000 0.000 (multiplicity 2)
Hg: 0.000 0.000 0.334 (multiplicity 4)
Br: 0.238 0.238 0.000 (multiplicity 8)

# 4
Cs3TlHg2Br8: computed powder diffraction line list (Cu Kα), based on a DFT-relaxed cell (PBE, Alexandria).

Main lines, in order of rising 2θ (2θ = 5–70°):
- d = 5.957 Å, rel. 41, (1 0 1)
- d = 4.235 Å, rel. 35, (0 1 2)
- d = 4.189 Å, rel. 100, (1 1 0)
- d = 3.136 Å, rel. 29, (1 0 3)
- d = 2.978 Å, rel. 64, (2 0 2)
- d = 2.095 Å, rel. 43, (2 2 0)

Crystal structure
Unit cell a=8.3785 b=8.3785 c=10.4327 alpha=90.00 beta=90.00 gamma=120.00
Space group P-3m1 (No. 164)
Inequivalent atoms, fractional coordinates:
Cs: 0.0000 0.0000 0.0000 (multiplicity 1)
Cs: 0.3333 0.6667 0.6019 (multiplicity 2)
Tl: 0.0000 0.0000 0.5000 (multiplicity 1)
Hg: 0.3333 0.6667 0.1837 (multiplicity 2)
Br: 0.1688 0.3376 0.3069 (multiplicity 6)
Br: 0.3333 0.6667 0.9380 (multiplicity 2)

# 5
CsU2HgBr8: computed powder diffraction line list (Cu Kα), based on a DFT-relaxed cell (PBE, Alexandria).

Main lines, in order of rising 2θ (2θ = 5–70°):
- d = 8.314 Å, rel. 97, (0 0 1)
- d = 4.062 Å, rel. 96, (1 1 0)
- d = 3.650 Å, rel. 40, (2 -1 1)
- d = 2.905 Å, rel. 100, (2 -1 2)
- d = 2.533 Å, rel. 33, (3 -2 1)
- d = 2.345 Å, rel. 61, (3 0 0)

Crystal structure
Unit cell a=8.1241 b=8.1241 c=8.3139 alpha=90.00 beta=90.00 gamma=120.00
Space group P-3 (No. 147)
Inequivalent atoms, fractional coordinates:
Cs: 0.0000 0.0000 0.0000 (multiplicity 1)
U: 0.3333 0.6667 0.4240 (multiplicity 2)
Hg: 0.0000 0.0000 0.5000 (multiplicity 1)
Br: 0.0538 0.4072 0.6642 (multiplicity 6)
Br: 0.3333 0.6667 0.0908 (multiplicity 2)

# 6
Cs2ZnHgBr6: computed powder diffraction line list (Cu Kα), based on a DFT-relaxed cell (PBE, Alexandria).

Main lines, in order of rising 2θ (2θ = 5–70°):
- d = 3.999 Å, rel. 72, (2 0 0)
- d = 3.265 Å, rel. 42, (2 0 2)
- d = 2.828 Å, rel. 100, (0 0 4)
- d = 2.309 Å, rel. 28, (2 0 4)
- d = 2.000 Å, rel. 68, (2 2 4)
- d = 1.633 Å, rel. 22, (4 0 4)

Crystal structure
Unit cell a=8.004 b=8.004 c=11.296 alpha=90.00 beta=90.00 gamma=90.00
Space group I4/mmm (No. 139)
Inequivalent atoms, fractional coordinates:
Cs: 0.000 0.500 0.250 (multiplicity 4)
Zn: 0.000 0.000 0.000 (multiplicity 2)
Hg: 0.000 0.000 0.500 (multiplicity 2)
Br: 0.000 0.000 0.275 (multiplicity 4)
Br: 0.224 0.224 0.000 (multiplicity 8)

# 7
CsHo2Br7: computed powder diffraction line list (Cu Kα), based on a DFT-relaxed cell (PBE, Alexandria).

Main lines, in order of rising 2θ (2θ = 5–70°):
- d = 5.602 Å, rel. 100, (0 0 1)
- d = 4.487 Å, rel. 66, (2 0 0)
- d = 4.281 Å, rel. 62, (1 3 0)
- d = 2.801 Å, rel. 98, (0 0 2)
- d = 2.597 Å, rel. 63, (3 1 1)
- d = 2.549 Å, rel. 73, (3 3 0)

Crystal structure
Unit cell a=8.974 b=14.614 c=5.602 alpha=90.00 beta=90.00 gamma=90.00
Space group Cmmm (No. 65)
Inequivalent atoms, fractional coordinates:
Cs: 0.000 0.000 0.000 (multiplicity 2)
Ho: 0.000 0.303 0.500 (multiplicity 4)
Br: 0.000 0.298 0.000 (multiplicity 4)
Br: 0.000 0.500 0.500 (multiplicity 2)
Br: 0.188 0.141 0.500 (multiplicity 8)

# 8
Cs3Ho2Br9: computed powder diffraction line list (Cu Kα), based on a DFT-relaxed cell (PBE, Alexandria).

Main lines, in order of rising 2θ (2θ = 5–70°):
- d = 6.937 Å, rel. 23, (1 1 0)
- d = 4.005 Å, rel. 23, (3 0 0)
- d = 3.081 Å, rel. 100, (2 2 3)
- d = 2.410 Å, rel. 37, (2 2 6)
- d = 2.003 Å, rel. 31, (6 0 0)
- d = 1.878 Å, rel. 22, (2 2 9)

Crystal structure
Unit cell a=13.8747 b=13.8747 c=20.1082 alpha=90.00 beta=90.00 gamma=120.00
Space group R-3c (No. 167, hexagonal axes)
Inequivalent atoms, fractional coordinates:
Cs: 0.0000 0.3383 0.2500 (multiplicity 18)
Ho: 0.0000 0.0000 0.1529 (multiplicity 12)
Br: 0.0000 0.1551 0.7500 (multiplicity 18)
Br: 0.0056 0.1755 0.4098 (multiplicity 36)

# 9
Cs3Li2HoBr9: computed powder diffraction line list (Cu Kα), based on a DFT-relaxed cell (PBE, Alexandria).

Main lines, in order of rising 2θ (2θ = 5–70°):
- d = 3.251 Å, rel. 27, (0 0 3)
- d = 3.200 Å, rel. 80, (0 2 1)
- d = 2.782 Å, rel. 100, (2 0 2)
- d = 1.979 Å, rel. 36, (0 2 4)
- d = 1.956 Å, rel. 35, (2 2 0)
- d = 1.676 Å, rel. 22, (2 2 3)

Crystal structure
Unit cell a=7.8229 b=7.8229 c=9.7530 alpha=90.00 beta=90.00 gamma=120.00
Space group P-3m1 (No. 164)
Inequivalent atoms, fractional coordinates:
Cs: 0.0000 0.0000 0.0000 (multiplicity 1)
Cs: 0.3333 0.6667 0.6739 (multiplicity 2)
Li: 0.3333 0.6667 0.1453 (multiplicity 2)
Ho: 0.0000 0.0000 0.5000 (multiplicity 1)
Br: 0.0000 0.5000 0.0000 (multiplicity 3)
Br: 0.1674 0.3348 0.3344 (multiplicity 6)

# 10
CsHoMn2Br8: computed powder diffraction line list (Cu Kα), based on a DFT-relaxed cell (PBE, Alexandria).

Main lines, in order of rising 2θ (2θ = 5–70°):
- d = 4.842 Å, rel. 100, (1 0 4)
- d = 3.425 Å, rel. 100, (1 1 0)
- d = 3.274 Å, rel. 57, (1 1 3)
- d = 2.920 Å, rel. 98, (1 1 6)
- d = 2.165 Å, rel. 92, (1 1 12)
- d = 1.977 Å, rel. 97, (3 0 0)

Crystal structure
Unit cell a=6.8496 b=6.8496 c=33.5261 alpha=90.00 beta=90.00 gamma=120.00
Space group R32 (No. 155, hexagonal axes)
Inequivalent atoms, fractional coordinates:
Cs: 0.0000 0.0000 0.0000 (multiplicity 3)
Ho: 0.0000 0.0000 0.5000 (multiplicity 3)
Mn: 0.0000 0.0000 0.2442 (multiplicity 6)
Br: 0.0000 0.0000 0.3164 (multiplicity 6)
Br: 0.0107 0.3571 0.2209 (multiplicity 18)

# 11
CsHoNb6Br18: computed powder diffraction line list (Cu Kα), based on a DFT-relaxed cell (PBE, Alexandria).

Main lines, in order of rising 2θ (2θ = 5–70°):
- d = 8.609 Å, rel. 72, (1 0 0)
- d = 6.298 Å, rel. 72, (1 0 2)
- d = 3.071 Å, rel. 55, (0 0 6)
- d = 2.877 Å, rel. 88, (3 -1 3)
- d = 2.660 Å, rel. 100, (3 -1 4)
- d = 2.441 Å, rel. 43, (3 -1 5)

Crystal structure
Unit cell a=9.9411 b=9.9411 c=18.4743 alpha=90.00 beta=90.00 gamma=120.00
Space group P-31c (No. 163)
Inequivalent atoms, fractional coordinates:
Cs: 0.3333 0.6667 0.2500 (multiplicity 2)
Ho: 0.3333 0.6667 0.7500 (multiplicity 2)
Nb: 0.0394 0.1882 0.5653 (multiplicity 12)
Br: 0.0473 0.2316 0.3402 (multiplicity 12)
Br: 0.0876 0.4483 0.6622 (multiplicity 12)
Br: 0.1372 0.4145 0.0008 (multiplicity 12)

# 12
CsHoSnBr6: computed powder diffraction line list (Cu Kα), based on a DFT-relaxed cell (PBE, Alexandria).

Main lines, in order of rising 2θ (2θ = 5–70°):
- d = 7.963 Å, rel. 42, (0 0 1)
- d = 5.081 Å, rel. 97, (1 0 1)
- d = 3.437 Å, rel. 67, (2 -1 1)
- d = 2.753 Å, rel. 100, (2 -1 2)
- d = 2.380 Å, rel. 34, (3 -1 1)
- d = 2.200 Å, rel. 40, (3 0 0)

Crystal structure
Unit cell a=7.6194 b=7.6194 c=7.9629 alpha=90.00 beta=90.00 gamma=120.00
Space group P312 (No. 149)
Inequivalent atoms, fractional coordinates:
Cs: 0.0000 0.0000 0.0000 (multiplicity 1)
Ho: 0.6667 0.3333 0.5000 (multiplicity 1)
Sn: 0.3333 0.6667 0.5000 (multiplicity 1)
Br: 0.3846 0.0197 0.7060 (multiplicity 6)